# 1
Simulated X-ray powder pattern of CrAgS2 for Cu Kα, from a crystal structure in the Materials Project, relaxed with PBE.
Intensities are scaled so that the largest is 100.

Main lines, in order of falling intensity (2θ from 10° to 90°):
d (Å)  I_rel
2.116  100.0
3.022  87.6
2.932  52.3
2.990  43.2
1.751  42.1
3.433  41.8
2.457  33.0
1.972  28.5
2.894  25.1
1.771  22.1

a = 7.158 Å, b = 7.158 Å, c = 6.040 Å
α = 97.82°, β = 97.82°, γ = 28.65°
Sites, in units of the cell vectors:
1 Cr 0.000 0.000 0.000
2 Cr 0.501 0.501 0.487
3 Ag 0.229 0.229 0.064
4 Ag 0.733 0.733 0.576
5 S 0.102 0.102 0.362
6 S 0.406 0.406 0.127
7 S 0.596 0.596 0.859
8 S 0.911 0.911 0.629

# 2
Simulated X-ray powder pattern of Cr5AgS8 for Cu Kα, from a crystal structure in the Materials Project, relaxed with PBE.
Intensities are scaled so that the largest is 100.

Main lines, in order of falling intensity (2θ from 10° to 90°):
d (Å)  I_rel
2.085  100.0
2.628  88.5
1.746  75.7
3.004  57.8
2.079  57.0
1.996  53.3
6.236  41.0
1.736  38.7
3.346  33.6
5.751  31.1

a = 6.058 Å, b = 6.946 Å, c = 12.621 Å
α = 90.00°, β = 98.79°, γ = 90.00°
Sites, in units of the cell vectors:
1 Cr 0.000 0.000 0.000
2 Cr 0.000 0.500 0.000
3 Cr 0.089 0.002 0.238
4 Cr 0.089 0.498 0.238
5 Cr 0.435 0.250 0.777
6 Cr 0.438 0.750 0.780
7 Cr 0.562 0.250 0.220
8 Cr 0.565 0.750 0.223
9 Cr 0.911 0.502 0.762
10 Cr 0.911 0.998 0.762
11 Ag 0.338 0.750 0.530
12 Ag 0.662 0.250 0.470
13 S 0.123 0.750 0.887
14 S 0.124 0.250 0.886
15 S 0.231 0.501 0.675
16 S 0.231 0.999 0.675
17 S 0.281 0.250 0.336
18 S 0.282 0.750 0.334
19 S 0.358 0.501 0.117
20 S 0.358 0.999 0.117
21 S 0.642 0.001 0.883
22 S 0.642 0.499 0.883
23 S 0.718 0.250 0.666
24 S 0.719 0.750 0.664
25 S 0.769 0.001 0.325
26 S 0.769 0.499 0.325
27 S 0.876 0.750 0.114
28 S 0.877 0.250 0.113

# 3
Simulated X-ray powder pattern of Cr2AgS4 for Cu Kα, from a crystal structure in the Materials Project, relaxed with PBE.
Intensities are scaled so that the largest is 100.

Main lines, in order of falling intensity (2θ from 10° to 90°):
d (Å)  I_rel
3.071  100.0
1.800  66.1
3.600  64.3
1.960  52.5
2.079  23.4
1.326  17.4
1.361  14.6
2.546  12.6
1.553  12.6
1.176  12.5

a = 7.201 Å, b = 7.201 Å, c = 7.201 Å
α = 60.00°, β = 60.00°, γ = 60.00°
Sites, in units of the cell vectors:
1 Cr 0.000 0.000 0.000
2 Cr 0.000 0.000 0.500
3 Cr 0.000 0.500 0.000
4 Cr 0.500 0.000 0.000
5 Ag 0.375 0.375 0.375
6 Ag 0.625 0.625 0.625
7 S 0.205 0.765 0.765
8 S 0.235 0.235 0.235
9 S 0.235 0.235 0.795
10 S 0.235 0.795 0.235
11 S 0.765 0.205 0.765
12 S 0.765 0.765 0.205
13 S 0.765 0.765 0.765
14 S 0.795 0.235 0.235

# 4
Simulated X-ray powder pattern of CrAgS2 for Cu Kα, from a crystal structure in the Materials Project, relaxed with PBE.
Intensities are scaled so that the largest is 100.

Main lines, in order of falling intensity (2θ from 10° to 90°):
d (Å)  I_rel
2.993  100.0
2.119  77.4
2.902  58.9
3.014  49.8
1.755  49.3
3.449  48.3
2.113  38.1
2.925  30.1
6.899  25.4
1.741  23.9

a = 3.483 Å, b = 6.095 Å, c = 7.188 Å
α = 73.70°, β = 89.84°, γ = 89.97°
Sites, in units of the cell vectors:
1 Cr 0.000 0.000 0.000
2 Cr 0.484 0.500 0.000
3 Ag 0.493 0.653 0.539
4 Ag 0.991 0.153 0.539
5 S 0.498 0.233 0.804
6 S 0.498 0.770 0.185
7 S 0.984 0.270 0.185
8 S 0.987 0.733 0.804

# 5
Simulated X-ray powder pattern of CrAgSnS4 for Cu Kα, from a crystal structure in the Materials Project, relaxed with PBE.
Intensities are scaled so that the largest is 100.

Main lines, in order of falling intensity (2θ from 10° to 90°):
d (Å)  I_rel
3.208  100.0
1.864  86.6
3.168  58.0
3.727  51.3
3.157  45.1
2.637  42.2
2.020  32.1
3.678  30.3
2.042  25.4
1.839  22.5

a = 7.457 Å, b = 7.457 Å, c = 7.457 Å
α = 120.88°, β = 118.94°, γ = 90.16°
Sites, in units of the cell vectors:
1 Cr 0.500 0.000 0.000
2 Cr 0.500 0.500 0.500
3 Ag 0.115 0.365 0.750
4 Ag 0.885 0.635 0.250
5 Sn 0.000 0.000 0.000
6 Sn 0.500 0.000 0.500
7 S 0.270 0.260 0.490
8 S 0.270 0.780 0.010
9 S 0.282 0.245 0.037
10 S 0.292 0.755 0.537
11 S 0.708 0.245 0.463
12 S 0.718 0.755 0.963
13 S 0.730 0.220 0.990
14 S 0.730 0.740 0.510

# 6
Simulated X-ray powder pattern of TaCr3Ag2S8 for Cu Kα, from a crystal structure in the Materials Project, relaxed with PBE.
Intensities are scaled so that the largest is 100.

Main lines, in order of falling intensity (2θ from 10° to 90°):
d (Å)  I_rel
3.231  100.0
2.635  85.0
2.950  67.4
2.188  56.9
8.480  51.0
2.144  46.8
2.711  41.1
3.263  38.8
4.240  36.7
1.819  34.1

a = 3.467 Å, b = 11.155 Å, c = 13.051 Å
α = 90.00°, β = 90.00°, γ = 90.00°
Sites, in units of the cell vectors:
1 Ta 0.000 0.164 0.000
2 Ta 0.500 0.836 0.500
3 Cr 0.000 0.200 0.515
4 Cr 0.000 0.664 0.304
5 Cr 0.000 0.687 0.796
6 Cr 0.500 0.313 0.296
7 Cr 0.500 0.336 0.804
8 Cr 0.500 0.800 0.015
9 Ag 0.000 0.001 0.733
10 Ag 0.000 0.497 0.577
11 Ag 0.500 0.503 0.077
12 Ag 0.500 0.999 0.233
13 S 0.000 0.169 0.334
14 S 0.000 0.278 0.690
15 S 0.000 0.371 0.929
16 S 0.000 0.454 0.250
17 S 0.000 0.663 0.974
18 S 0.000 0.772 0.620
19 S 0.000 0.870 0.367
20 S 0.000 0.953 0.051
21 S 0.500 0.047 0.551
22 S 0.500 0.130 0.867
23 S 0.500 0.228 0.120
24 S 0.500 0.337 0.474
25 S 0.500 0.546 0.750
26 S 0.500 0.629 0.429
27 S 0.500 0.722 0.190
28 S 0.500 0.831 0.834

Question: Number 6 is which compound?
Answer: TaCr3Ag2S8